Theoretical PXRD pattern of Pm2Dy for λ = 1.5418 Å (Cu Kα), from DFT lattice parameters and positions (GGA-PBE).
Neutral-atom scattering factors, no anomalous dispersion.

```
data_Pm2Dy
_chemical_formula_sum 'Pm4 Dy2'
_cell_length_a 3.616
_cell_length_b 3.616
_cell_length_c 15.333
_cell_angle_alpha 90.00
_cell_angle_beta 90.00
_cell_angle_gamma 90.00
_symmetry_space_group_name_H-M 'I 4/m m m'
_symmetry_Int_Tables_number 139
_symmetry_space_group_name_Hall '-I 4 2'
loop_
_atom_site_label
_atom_site_type_symbol
_atom_site_fract_x
_atom_site_fract_y
_atom_site_fract_z
_atom_site_occupancy
Pm1 Pm 0.000 0.000 0.165 1
Dy1 Dy 0.000 0.000 0.500 1
```

Principal peaks in the range 5° ≤ 2θ ≤ 70°, by angle:
d 2.952, 2θ = 30.28°, intensity 100
d 2.556, 2θ = 35.11°, intensity 51
d 1.808, 2θ = 50.49°, intensity 36
d 1.541, 2θ = 60.02°, intensity 43
d 1.476, 2θ = 62.98°, intensity 12